# 1
For Ba2NbFeO6, the GGA+U geometry in the Materials Project gives the theoretical XRD peak list in this record (λ = 1.5418 Å (Cu Kα)).
Kinematic intensities with the Lorentz-polarization factor, no thermal factor.

Unit cell a=8.216 b=8.216 c=8.216 alpha=90.00 beta=90.00 gamma=90.00
Space group Fm-3m (No. 225)
Asymmetric unit:
Ba 0.250 0.250 0.250 [8 per cell]
Nb 0.000 0.000 0.000 [4 per cell]
Fe 0.000 0.000 0.500 [4 per cell]
O 0.000 0.000 0.247 [24 per cell]

Main lines, sorted by position (15° ≤ 2θ ≤ 90°):
two_theta, I_rel, h k l
21.6, 4, 2 0 0
30.8, 100, 2 2 0
37.9, 11, 2 2 2
44.1, 32, 4 0 0
54.7, 39, 4 2 2
64.1, 20, 4 4 0
72.8, 17, 6 2 0
77.0, 3, 6 2 2
81.1, 6, 4 4 4
89.2, 21, 6 4 2



# 2
For Ba2NbFeO6, the GGA+U geometry in the Materials Project gives the theoretical XRD peak list in this record (λ = 1.5418 Å (Cu Kα)).
Kinematic intensities with the Lorentz-polarization factor, no thermal factor.

Unit cell a=5.8790 b=5.8790 c=14.3834 alpha=90.00 beta=90.00 gamma=120.00
Space group P-3m1 (No. 164)
Asymmetric unit:
Ba 0.0000 0.0000 0.2496 [2 per cell]
Ba 0.3333 0.6667 0.0954 [2 per cell]
Ba 0.3333 0.6667 0.3982 [2 per cell]
Nb 0.0000 0.0000 0.5000 [1 per cell]
Nb 0.3333 0.6667 0.8444 [2 per cell]
Fe 0.0000 0.0000 0.0000 [1 per cell]
Fe 0.3333 0.6667 0.6507 [2 per cell]
O 0.0289 0.5144 0.7514 [6 per cell]
O 0.1631 0.3262 0.5807 [6 per cell]
O 0.1668 0.3335 0.9185 [6 per cell]

Main lines, sorted by position (15° ≤ 2θ ≤ 90°):
two_theta, I_rel, h k l
25.5, 14, 1 0 3
30.4, 100, 1 1 0
40.1, 12, 0 2 3
43.6, 25, 2 0 4
47.7, 10, 0 1 7
54.0, 30, 3 0 0
57.6, 7, 2 0 7
63.3, 14, 2 2 0
71.8, 9, 3 1 4
87.9, 11, 4 1 0



# 3
For BaNb4Fe2O14, the GGA+U geometry in the Materials Project gives the theoretical XRD peak list in this record (λ = 1.5418 Å (Cu Kα)).
Kinematic intensities with the Lorentz-polarization factor, no thermal factor.

Unit cell a=6.581 b=6.824 c=9.110 alpha=109.00 beta=99.64 gamma=97.94
Space group P-1 (No. 2)
Asymmetric unit:
Ba 0.000 0.000 0.000 [1 per cell]
Nb 0.296 0.497 0.355 [2 per cell]
Nb 0.466 0.167 0.801 [2 per cell]
Fe 0.303 0.640 0.783 [2 per cell]
O 0.011 0.422 0.264 [2 per cell]
O 0.273 0.914 0.749 [2 per cell]
O 0.314 0.376 0.841 [2 per cell]
O 0.327 0.474 0.559 [2 per cell]
O 0.329 0.796 0.018 [2 per cell]
O 0.372 0.282 0.196 [2 per cell]
O 0.380 0.782 0.353 [2 per cell]

Main lines, sorted by position (15° ≤ 2θ ≤ 90°):
two_theta, I_rel, h k l
19.6, 69, 1 -1 1
20.4, 92, 0 1 1
24.1, 87, 1 1 -2
26.4, 44, 0 2 -1
28.0, 100, 1 0 2
28.8, 51, 2 -1 0
31.6, 60, 1 2 -1
31.9, 49, 1 0 -3
34.4, 57, 0 2 -3
58.1, 43, -3 1 4



# 4
For BaNb4Fe2O14, the GGA+U geometry in the Materials Project gives the theoretical XRD peak list in this record (λ = 1.5418 Å (Cu Kα)).
Kinematic intensities with the Lorentz-polarization factor, no thermal factor.

Unit cell a=11.774 b=11.455 c=10.959 alpha=90.00 beta=99.95 gamma=90.00
Space group C2/c (No. 15)
Asymmetric unit:
Ba 0.250 0.250 0.000 [4 per cell]
Nb 0.060 0.187 0.555 [8 per cell]
Nb 0.212 0.457 0.290 [8 per cell]
Fe 0.000 0.049 0.250 [4 per cell]
Fe 0.000 0.500 0.000 [4 per cell]
O 0.012 0.338 0.568 [8 per cell]
O 0.048 0.095 0.882 [8 per cell]
O 0.053 0.156 0.389 [8 per cell]
O 0.114 0.430 0.140 [8 per cell]
O 0.140 0.497 0.917 [8 per cell]
O 0.164 0.059 0.209 [8 per cell]
O 0.211 0.188 0.662 [8 per cell]

Main lines, sorted by position (15° ≤ 2θ ≤ 90°):
two_theta, I_rel, h k l
22.4, 28, 2 2 -1
22.6, 100, 0 2 2
24.3, 43, 3 1 -1
24.5, 37, 1 3 0
25.8, 61, 1 1 -3
27.0, 45, 3 1 1
27.1, 27, 3 1 -2
29.0, 30, 2 2 2
33.0, 31, 3 3 -1
35.2, 27, 3 3 -2



# 5
For BaNb2Fe2P6O24, the GGA+U geometry in the Materials Project gives the theoretical XRD peak list in this record (λ = 1.5418 Å (Cu Kα)).
Kinematic intensities with the Lorentz-polarization factor, no thermal factor.

Unit cell a=8.6363 b=8.6363 c=23.5535 alpha=90.00 beta=90.00 gamma=120.00
Space group R3 (No. 146, hexagonal axes)
Asymmetric unit:
Ba 0.0000 0.0000 0.0000 [3 per cell]
Nb 0.0000 0.0000 0.1532 [3 per cell]
Nb 0.0000 0.0000 0.6497 [3 per cell]
Fe 0.0000 0.0000 0.3568 [3 per cell]
Fe 0.0000 0.0000 0.8504 [3 per cell]
P 0.0527 0.3798 0.9217 [9 per cell]
P 0.0534 0.6740 0.4209 [9 per cell]
O 0.0214 0.1935 0.9077 [9 per cell]
O 0.0248 0.8270 0.4055 [9 per cell]
O 0.0419 0.2041 0.2018 [9 per cell]
O 0.0501 0.8410 0.7011 [9 per cell]
O 0.1654 0.4642 0.2684 [9 per cell]
O 0.1663 0.6980 0.7668 [9 per cell]
O 0.1708 0.7134 0.4727 [9 per cell]
O 0.1737 0.4527 0.9733 [9 per cell]

Main lines, sorted by position (15° ≤ 2θ ≤ 90°):
two_theta, I_rel, h k l
19.2, 18, 1 0 4
20.6, 90, 1 1 0
23.5, 81, 1 1 3
28.3, 21, 0 2 4
30.8, 100, 1 1 6
36.0, 30, 3 0 0
43.0, 18, 0 3 6
48.1, 32, 4 -2 6
56.4, 23, 4 1 0
61.5, 18, 5 -4 6



# 6
For Ba2SmNb4FeO15, the GGA+U geometry in the Materials Project gives the theoretical XRD peak list in this record (λ = 1.5418 Å (Cu Kα)).
Kinematic intensities with the Lorentz-polarization factor, no thermal factor.

Unit cell a=4.077 b=12.609 c=12.713 alpha=90.00 beta=90.21 gamma=90.00
Space group Pc (No. 7)
Asymmetric unit:
Ba 0.000 0.073 0.000 [2 per cell]
Ba 0.000 0.409 0.649 [2 per cell]
Sm 0.982 0.238 0.350 [2 per cell]
Nb 0.484 0.250 0.824 [2 per cell]
Nb 0.486 0.036 0.250 [2 per cell]
Nb 0.488 0.459 0.405 [2 per cell]
Nb 0.492 0.322 0.117 [2 per cell]
Fe 0.513 0.173 0.541 [2 per cell]
O 0.021 0.054 0.257 [2 per cell]
O 0.021 0.175 0.517 [2 per cell]
O 0.026 0.449 0.403 [2 per cell]
O 0.028 0.248 0.828 [2 per cell]
O 0.034 0.326 0.128 [2 per cell]
O 0.513 0.028 0.609 [2 per cell]
O 0.519 0.132 0.381 [2 per cell]
O 0.526 0.468 0.047 [2 per cell]
O 0.528 0.254 0.673 [2 per cell]
O 0.534 0.089 0.839 [2 per cell]
O 0.538 0.408 0.819 [2 per cell]
O 0.539 0.245 0.984 [2 per cell]
O 0.540 0.321 0.470 [2 per cell]
O 0.546 0.377 0.267 [2 per cell]
O 0.551 0.180 0.181 [2 per cell]

Main lines, sorted by position (15° ≤ 2θ ≤ 90°):
two_theta, I_rel, h k l
25.4, 30, 0 3 2
26.9, 72, 1 1 2
29.0, 44, 0 1 4
29.2, 43, 0 4 1
29.6, 38, 1 2 2
31.2, 33, 1 1 -3
31.4, 100, 1 3 1
31.5, 23, 0 2 4
31.7, 25, 0 4 2
44.4, 42, 2 0 0



# 7
For BaNdFe2O6, the GGA+U geometry in the Materials Project gives the theoretical XRD peak list in this record (λ = 1.5418 Å (Cu Kα)).
Kinematic intensities with the Lorentz-polarization factor, no thermal factor.

Unit cell a=7.929 b=7.929 c=7.929 alpha=90.00 beta=90.00 gamma=90.00
Space group Fm-3m (No. 225)
Asymmetric unit:
Ba 0.000 0.000 0.000 [4 per cell]
Nd 0.000 0.000 0.500 [4 per cell]
Fe 0.250 0.250 0.250 [8 per cell]
O 0.000 0.250 0.250 [24 per cell]

Main lines, sorted by position (15° ≤ 2θ ≤ 90°):
two_theta, I_rel, h k l
22.4, 13, 2 0 0
31.9, 100, 2 2 0
39.4, 19, 2 2 2
45.8, 33, 4 0 0
51.5, 7, 4 2 0
56.9, 38, 4 2 2
66.7, 19, 4 4 0
75.9, 16, 6 2 0
80.3, 6, 6 2 2
84.7, 6, 4 4 4